This entry pairs a crystal structure of Al9FeP2 with its calculated powder diffractogram. Radiation: Cu Kα (weighted mean of Kα1 and Kα2). Structure: the GGA-PBE geometry in Alexandria.
Intensities are scaled so that the largest is 100.

Main lines, in order of falling intensity (2θ = 10–90°):
40.57 deg, d 2.224, intensity 100, hkl 2 2 0
40.45 deg, d 2.230, intensity 56, hkl 2 0 1
38.65 deg, d 2.330, intensity 38, hkl 1 1 1
73.77 deg, d 1.284, intensity 34, hkl 6 0 0
82.88 deg, d 1.165, intensity 24, hkl 2 2 2
48.64 deg, d 1.872, intensity 19, hkl 3 0 1
58.63 deg, d 1.575, intensity 18, hkl 4 0 1
65.14 deg, d 1.432, intensity 15, hkl 4 1 1

Crystal structure
a = 8.894 Å, b = 8.894 Å, c = 2.735 Å
α = 90.00°, β = 90.00°, γ = 120.00°
Fractional positions:
Al (0.000, 0.500, 0.000)
Al (0.168, 0.336, 0.500)
Al (0.168, 0.832, 0.500)
Al (0.336, 0.168, 0.500)
Al (0.500, 0.000, 0.000)
Al (0.500, 0.500, 0.000)
Al (0.664, 0.832, 0.500)
Al (0.832, 0.168, 0.500)
Al (0.832, 0.664, 0.500)
Fe (0.000, 0.000, 0.000)
P (0.333, 0.667, 0.000)
P (0.667, 0.333, 0.000)